Structure and calculated powder X-ray diffraction pattern of KNaPbI4 (the GGA-PBE geometry in Alexandria; CuKα).

Most intense lines, 10 to 90 degrees two-theta, by angle:
(1 1 0), 14.75 deg, intensity 100
(1 2 0), 23.05 deg, intensity 90
(1 1 2), 26.63 deg, intensity 82
(2 1 -2), 27.30 deg, intensity 86
(2 0 2), 32.65 deg, intensity 72
(3 2 0), 38.60 deg, intensity 60

Crystal structure
abc: 8.546 8.721 9.378
angles: 90.00 104.27 90.00
Space group P2_1/m (No. 11)
Asymmetric unit:
1 K 0.178 0.250 0.039 [2 per cell]
2 Na 0.282 0.750 0.340 [2 per cell]
3 Pb 0.190 0.250 0.543 [2 per cell]
4 I 0.009 0.503 0.275 [4 per cell]
5 I 0.463 0.250 0.372 [2 per cell]
6 I 0.464 0.250 0.836 [2 per cell]

Structure and calculated powder X-ray diffraction pattern of K2NaPuI6 (the GGA-PBE geometry in Alexandria; CuKα).

Most intense lines, 10 to 90 degrees two-theta, by angle:
(0 1 1), 12.42 deg, intensity 57
(1 1 -1), 14.74 deg, intensity 100
(1 2 0), 23.95 deg, intensity 88
(1 0 -4), 24.86 deg, intensity 68
(2 1 -1), 25.00 deg, intensity 77
(2 2 -2), 29.68 deg, intensity 47

Crystal structure
abc: 8.199 8.866 14.471
angles: 90.00 124.04 90.00
Space group P2_1/c (No. 14)
Asymmetric unit:
1 K 0.213 0.090 0.248 [4 per cell]
2 Na 0.000 0.000 0.500 [2 per cell]
3 Pu 0.500 0.000 0.000 [2 per cell]
4 I 0.133 0.188 0.940 [4 per cell]
5 I 0.266 0.699 0.943 [4 per cell]
6 I 0.373 0.034 0.755 [4 per cell]

Structure and calculated powder X-ray diffraction pattern of K2Na2SI2 (the GGA-PBE geometry in Alexandria; CuKα).

Most intense lines, 10 to 90 degrees two-theta, by angle:
(1 0 3), 22.04 deg, intensity 77
(1 1 0), 23.80 deg, intensity 100
(1 1 4), 30.62 deg, intensity 81
(2 0 0), 33.92 deg, intensity 67
(2 0 6), 44.96 deg, intensity 38
(3 1 0), 54.90 deg, intensity 36

Crystal structure
abc: 5.286 5.286 18.708
angles: 90.00 90.00 90.00
Space group I4/mmm (No. 139)
Asymmetric unit:
1 K 0.000 0.000 0.164 [4 per cell]
2 Na 0.000 0.500 0.000 [4 per cell]
3 S 0.000 0.000 0.000 [2 per cell]
4 I 0.000 0.000 0.355 [4 per cell]

Structure and calculated powder X-ray diffraction pattern of KNa2UI8 (the GGA-PBE geometry in Alexandria; CuKα).

Most intense lines, 10 to 90 degrees two-theta, by angle:
(0 1 0), 11.40 deg, intensity 57
(0 1 -1), 11.75 deg, intensity 38
(1 -1 0), 14.98 deg, intensity 43
(1 0 1), 16.16 deg, intensity 38
(-1 1 2), 25.67 deg, intensity 100
(1 2 0), 28.24 deg, intensity 37

Crystal structure
abc: 7.371 8.450 10.438
angles: 110.19 93.14 99.87
Space group P-1 (No. 2)
Asymmetric unit:
1 K 0.000 0.000 0.000 [1 per cell]
2 Na 0.461 0.325 0.817 [2 per cell]
3 U 0.000 0.000 0.500 [1 per cell]
4 I 0.121 0.779 0.244 [2 per cell]
5 I 0.257 0.900 0.668 [2 per cell]
6 I 0.282 0.293 0.510 [2 per cell]
7 I 0.417 0.288 0.093 [2 per cell]

Structure and calculated powder X-ray diffraction pattern of KNaZn2I (the GGA-PBE geometry in Alexandria; CuKα).

Most intense lines, 10 to 90 degrees two-theta, by angle:
(1 0 1), 18.91 deg, intensity 57
(1 1 1), 23.80 deg, intensity 100
(0 0 2), 24.71 deg, intensity 41
(2 0 0), 28.87 deg, intensity 54
(2 0 2), 38.36 deg, intensity 50
(3 1 1), 48.22 deg, intensity 30

Crystal structure
abc: 6.184 6.184 7.206
angles: 90.00 90.00 90.00
Space group P4/mmm (No. 123)
Asymmetric unit:
1 K 0.000 0.000 0.000 [1 per cell]
2 Na 0.000 0.000 0.500 [1 per cell]
3 Zn 0.000 0.500 0.000 [2 per cell]
4 I 0.500 0.500 0.500 [1 per cell]

Structure and calculated powder X-ray diffraction pattern of KNaZnI4 (the GGA-PBE geometry in Alexandria; CuKα).

Most intense lines, 10 to 90 degrees two-theta, by angle:
(1 2 0), 24.74 deg, intensity 100
(1 0 2), 25.97 deg, intensity 28
(2 0 -2), 26.38 deg, intensity 30
(1 1 2), 28.17 deg, intensity 33
(2 1 -2), 28.55 deg, intensity 34
(2 2 2), 42.07 deg, intensity 34

Crystal structure
abc: 7.695 8.253 9.458
angles: 90.00 107.01 90.00
Space group P2_1/m (No. 11)
Asymmetric unit:
1 K 0.228 0.250 0.055 [2 per cell]
2 Na 0.233 0.250 0.560 [2 per cell]
3 Zn 0.230 0.750 0.319 [2 per cell]
4 I 0.002 0.501 0.269 [4 per cell]
5 I 0.424 0.750 0.132 [2 per cell]
6 I 0.446 0.750 0.590 [2 per cell]

Structure and calculated powder X-ray diffraction pattern of K2RbNbI8 (the GGA-PBE geometry in Alexandria; CuKα).

Most intense lines, 10 to 90 degrees two-theta, by angle:
(0 1 0), 11.10 deg, intensity 27
(1 2 0), 21.55 deg, intensity 24
(1 1 2), 21.91 deg, intensity 35
(1 -1 2), 26.45 deg, intensity 100
(2 2 0), 28.35 deg, intensity 37
(1 3 2), 35.86 deg, intensity 23

Crystal structure
abc: 7.045 8.534 10.602
angles: 89.98 89.98 69.05
Space group P-1 (No. 2)
Asymmetric unit:
1 K 0.001 0.000 0.234 [2 per cell]
2 Rb 0.000 0.500 0.000 [1 per cell]
3 Nb 0.000 0.500 0.500 [1 per cell]
4 I 0.226 0.710 0.500 [2 per cell]
5 I 0.257 0.303 0.315 [2 per cell]
6 I 0.257 0.303 0.685 [2 per cell]
7 I 0.303 0.768 0.000 [2 per cell]

Structure and calculated powder X-ray diffraction pattern of K2NdI5 (the GGA-PBE geometry in Alexandria; CuKα).

Most intense lines, 10 to 90 degrees two-theta, by angle:
(1 0 1), 11.26 deg, intensity 59
(2 2 1), 23.71 deg, intensity 56
(4 0 1), 26.13 deg, intensity 83
(1 2 2), 27.01 deg, intensity 100
(2 2 2), 29.03 deg, intensity 54
(2 1 3), 32.63 deg, intensity 46

Crystal structure
abc: 14.661 9.894 9.303
angles: 90.00 90.00 90.00
Space group Pnma (No. 62)
Asymmetric unit:
1 K 0.173 0.004 0.063 [8 per cell]
2 Nd 0.006 0.250 0.580 [4 per cell]
3 I 0.008 0.250 0.928 [4 per cell]
4 I 0.074 0.546 0.669 [8 per cell]
5 I 0.183 0.250 0.380 [4 per cell]
6 I 0.205 0.750 0.343 [4 per cell]

Structure and calculated powder X-ray diffraction pattern of K3Nd3I10 (the GGA-PBE geometry in Alexandria; CuKα).

Most intense lines, 10 to 90 degrees two-theta, by angle:
(1 1 0), 11.36 deg, intensity 64
(1 4 0), 26.54 deg, intensity 98
(2 3 0), 26.74 deg, intensity 80
(1 3 2), 28.02 deg, intensity 100
(3 1 0), 29.60 deg, intensity 84
(3 2 1), 33.47 deg, intensity 55

Crystal structure
abc: 9.288 14.414 10.004
angles: 90.00 94.55 90.00
Space group P2_1 (No. 4)
Asymmetric unit:
1 K 0.194 0.000 0.213 [2 per cell]
2 K 0.268 0.347 0.744 [2 per cell]
3 K 0.299 0.321 0.249 [2 per cell]
4 Nd 0.163 0.738 0.557 [2 per cell]
5 Nd 0.283 0.979 0.692 [2 per cell]
6 Nd 0.316 0.652 0.029 [2 per cell]
7 I 0.020 0.424 0.457 [2 per cell]
8 I 0.038 0.721 0.841 [2 per cell]
9 I 0.103 0.752 0.230 [2 per cell]
10 I 0.127 0.471 0.007 [2 per cell]
11 I 0.188 0.158 0.506 [2 per cell]
12 I 0.326 0.138 0.939 [2 per cell]
13 I 0.397 0.603 0.727 [2 per cell]
14 I 0.401 0.571 0.321 [2 per cell]
15 I 0.406 0.864 0.962 [2 per cell]
16 I 0.428 0.857 0.479 [2 per cell]

Structure and calculated powder X-ray diffraction pattern of K2NdI6 (the GGA-PBE geometry in Alexandria; CuKα).

Most intense lines, 10 to 90 degrees two-theta, by angle:
(0 1 1), 11.02 deg, intensity 49
(1 0 2), 26.44 deg, intensity 100
(1 4 0), 28.72 deg, intensity 44
(0 5 1), 29.39 deg, intensity 23
(0 3 3), 33.52 deg, intensity 25
(1 5 1), 34.72 deg, intensity 29

Crystal structure
abc: 4.909 16.104 9.250
angles: 90.00 90.00 90.00
Space group Amm2 (No. 38)
Asymmetric unit:
1 K 0.000 0.167 0.000 [4 per cell]
2 Nd 0.500 0.000 0.502 [2 per cell]
3 I 0.000 0.000 0.744 [2 per cell]
4 I 0.000 0.120 0.381 [4 per cell]
5 I 0.500 0.000 0.136 [2 per cell]
6 I 0.500 0.184 0.683 [4 per cell]

Structure and calculated powder X-ray diffraction pattern of K4NiI5 (the GGA-PBE geometry in Alexandria; CuKα).

Most intense lines, 10 to 90 degrees two-theta, by angle:
(2 1 1), 22.30 deg, intensity 64
(0 0 2), 24.94 deg, intensity 59
(1 3 0), 26.23 deg, intensity 100
(1 3 2), 36.51 deg, intensity 74
(4 2 0), 37.43 deg, intensity 33
(4 2 2), 45.51 deg, intensity 30

Crystal structure
abc: 10.745 10.745 7.140
angles: 90.00 90.00 90.00
Space group I4 (No. 79)
Asymmetric unit:
1 K 0.089 0.300 0.000 [8 per cell]
2 Ni 0.000 0.000 0.433 [2 per cell]
3 I 0.000 0.000 0.065 [2 per cell]
4 I 0.083 0.256 0.503 [8 per cell]